No. 1
The following is a computed powder diffraction line list of Pr2Nd2Au. It was derived from a PBE-relaxed structure, using λ = 1.5418 Å (Cu Kα).
Kinematic intensities with the Lorentz-polarization factor, no thermal factor.

```
Pr2Nd2Au
1.0
3.8746 -5.7286 0.0000
3.8746 5.7286 0.0000
-3.5462 0.0000 7.4657
Pr Nd Au
4 4 2
Direct
0.2129 0.2129 0.4215 Pr
0.2645 0.2645 0.8769 Pr
0.7355 0.7355 0.1231 Pr
0.7871 0.7871 0.5785 Pr
0.2153 0.6397 0.2583 Nd
0.3603 0.7847 0.7417 Nd
0.6397 0.2153 0.2583 Nd
0.7847 0.3603 0.7417 Nd
0.1352 0.8648 0.0000 Au
0.8648 0.1352 0.0000 Au
```

Most intense lines, 10° ≤ 2θ ≤ 90°, low angle first:
2theta, d (Å), intensity
11.85, 7.466, 38.7
26.82, 3.324, 53.1
28.54, 3.127, 41.5
29.92, 2.987, 76.0
32.01, 2.796, 100.0
32.60, 2.746, 87.9
34.09, 2.630, 54.7
35.92, 2.500, 28.4

=====

No. 2
The following is a computed powder diffraction line list of Pa2CoReN6. It was derived from a PBE-relaxed structure, using λ = 1.5418 Å (Cu Kα).
Kinematic intensities with the Lorentz-polarization factor, no thermal factor.

```
Pa2CoReN6
1.0
5.3635 0.0000 0.0000
0.0000 5.3635 0.0000
0.0000 0.0000 4.2327
Pa Co Re N
2 1 1 6
Direct
0.0000 0.5000 0.0000 Pa
0.5000 0.0000 0.0000 Pa
0.0000 0.0000 0.6384 Co
0.5000 0.5000 0.5816 Re
0.0000 0.0000 0.1662 N
0.2489 0.2489 0.6908 N
0.2489 0.7511 0.6908 N
0.5000 0.5000 0.1438 N
0.7511 0.2489 0.6908 N
0.7511 0.7511 0.6908 N
```

Most intense lines, 10° ≤ 2θ ≤ 90°, low angle first:
2theta, d (Å), intensity
20.99, 4.233, 14.6
31.68, 2.825, 100.0
33.41, 2.682, 46.8
47.98, 1.896, 22.6
49.31, 1.848, 14.1
55.30, 1.661, 18.3
58.64, 1.574, 36.2
71.28, 1.323, 14.9

=====

No. 3
The following is a computed powder diffraction line list of AcNd10Er6. It was derived from a PBE-relaxed structure, using λ = 1.5418 Å (Cu Kα).
Kinematic intensities with the Lorentz-polarization factor, no thermal factor.

```
AcNd10Er6
1.0
9.9006 0.0000 0.0000
-4.9503 8.5742 0.0000
0.0000 0.0000 6.9575
Ac Nd Er
1 10 6
Direct
0.0000 0.0000 0.0000 Ac
0.0000 0.2839 0.3280 Nd
0.0000 0.7161 0.6720 Nd
0.2839 0.0000 0.3280 Nd
0.2839 0.2839 0.6720 Nd
0.3333 0.6667 0.0000 Nd
0.3333 0.6667 0.5000 Nd
0.6667 0.3333 0.0000 Nd
0.6667 0.3333 0.5000 Nd
0.7161 0.0000 0.6720 Nd
0.7161 0.7161 0.3280 Nd
0.0000 0.3685 0.8174 Er
0.0000 0.6315 0.1826 Er
0.3685 0.0000 0.8174 Er
0.3685 0.3685 0.1826 Er
0.6315 0.0000 0.1826 Er
0.6315 0.6315 0.8174 Er
```

Most intense lines, 10° ≤ 2θ ≤ 90°, low angle first:
2theta, d (Å), intensity
24.39, 3.650, 11.9
30.43, 2.938, 31.9
31.30, 2.858, 83.6
31.43, 2.846, 100.0
44.95, 2.017, 28.1
48.07, 1.893, 12.4
55.77, 1.648, 31.0
56.04, 1.641, 19.2

=====

Repeat the first record exactly.
The following is a computed powder diffraction line list of Pr2Nd2Au. It was derived from a PBE-relaxed structure, using λ = 1.5418 Å (Cu Kα).
Kinematic intensities with the Lorentz-polarization factor, no thermal factor.

```
Pr2Nd2Au
1.0
3.8746 -5.7286 0.0000
3.8746 5.7286 0.0000
-3.5462 0.0000 7.4657
Pr Nd Au
4 4 2
Direct
0.2129 0.2129 0.4215 Pr
0.2645 0.2645 0.8769 Pr
0.7355 0.7355 0.1231 Pr
0.7871 0.7871 0.5785 Pr
0.2153 0.6397 0.2583 Nd
0.3603 0.7847 0.7417 Nd
0.6397 0.2153 0.2583 Nd
0.7847 0.3603 0.7417 Nd
0.1352 0.8648 0.0000 Au
0.8648 0.1352 0.0000 Au
```

Most intense lines, 10° ≤ 2θ ≤ 90°, low angle first:
2theta, d (Å), intensity
11.85, 7.466, 38.7
26.82, 3.324, 53.1
28.54, 3.127, 41.5
29.92, 2.987, 76.0
32.01, 2.796, 100.0
32.60, 2.746, 87.9
34.09, 2.630, 54.7
35.92, 2.500, 28.4